# NaMnAsCO7
Theoretical powder XRD pattern, CuKα. Input: a GGA+U-relaxed structure.
Peak positions follow from Bragg's law for the DFT cell and can differ from measured ones.

Main lines, most intense first (10 to 90 degrees two-theta):
index  2θ (°)  d/Å  Rel. int.
0 2 0  27.79  3.211  1000
1 0 -2  24.60  3.619  948
1 1 1  23.76  3.744  783
1 0 -1  18.71  4.743  629
0 1 1  16.66  5.321  621
1 0 1  19.26  4.609  599
0 2 2  33.70  2.660  574
2 0 0  33.37  2.685  508

Structure:
a b c (Å): 5.372 6.421 9.509
angles (deg): 90.00 91.91 90.00
Positions (direct):
Na (0.216, 0.000, 0.290)
Na (0.784, 0.500, 0.710)
Mn (0.216, 0.778, 0.842)
Mn (0.784, 0.278, 0.158)
As (0.283, 0.273, 0.938)
As (0.717, 0.773, 0.062)
C (0.302, 0.778, 0.594)
C (0.698, 0.278, 0.406)
O (0.077, 0.773, 0.646)
O (0.128, 0.265, 0.092)
O (0.201, 0.477, 0.828)
O (0.206, 0.073, 0.825)
O (0.347, 0.790, 0.468)
O (0.400, 0.785, 0.023)
O (0.474, 0.770, 0.698)
O (0.526, 0.270, 0.302)
O (0.600, 0.285, 0.977)
O (0.653, 0.290, 0.532)
O (0.794, 0.573, 0.175)
O (0.799, 0.977, 0.172)
O (0.872, 0.765, 0.908)
O (0.923, 0.273, 0.354)